No. 1
This entry pairs a crystal structure of Cd3InPb12 with its simulated powder X-ray diffraction pattern. Radiation: Cu Kα, 1.54184 Å. Structure: a DFT-relaxed cell (PBE, Alexandria).
Peak positions follow from Bragg's law for the DFT cell and can differ from measured ones.

The 10 most intense peaks (10° ≤ 2θ ≤ 80°), by angle:
index, 2θ/deg, I (rel.)
1 0 0, 18.12, 3
1 1 4, 31.44, 100
0 0 8, 35.95, 18
2 0 0, 36.72, 33
2 0 8, 52.33, 24
2 2 0, 52.91, 12
1 1 12, 61.82, 15
3 1 4, 62.86, 28
2 2 8, 65.63, 12
4 0 0, 78.11, 4

Structural model:
```
data_Cd3InPb12
_space_group_name_H-M_alt 'P 4/m m m'
_space_group_IT_number 123
_space_group_name_Hall '-P 4 2'
_cell_length_a 4.8944
_cell_length_b 4.8944
_cell_length_c 19.9859
_cell_angle_alpha 90.00
_cell_angle_beta 90.00
_cell_angle_gamma 90.00
loop_
_atom_site_label
_atom_site_type_symbol
_atom_site_fract_x
_atom_site_fract_y
_atom_site_fract_z
Cd1 Cd 0.0000 0.0000 0.0000
Cd2 Cd 0.0000 0.0000 0.2491
In1 In 0.0000 0.0000 0.5000
Pb1 Pb 0.0000 0.5000 0.1242
Pb2 Pb 0.0000 0.5000 0.3726
Pb3 Pb 0.5000 0.5000 0.0000
Pb4 Pb 0.5000 0.5000 0.2485
Pb5 Pb 0.5000 0.5000 0.5000
```

=====

No. 2
This entry pairs a crystal structure of Cd4In4Pb with its simulated powder X-ray diffraction pattern. Radiation: Cu Kα, 1.54184 Å. Structure: a DFT-relaxed cell (PBE, Alexandria).
Peak positions follow from Bragg's law for the DFT cell and can differ from measured ones.

The 10 most intense peaks (10° ≤ 2θ ≤ 80°), by angle:
index, 2θ/deg, I (rel.)
1 1 2, 26.38, 41
2 1 1, 27.57, 100
2 2 0, 32.38, 52
1 0 3, 33.52, 36
3 1 1, 37.88, 26
2 2 2, 38.81, 46
2 0 3, 39.16, 89
3 2 1, 43.03, 42
4 0 0, 46.45, 44
4 2 3, 62.34, 31

Structural model:
```
data_Cd4In4Pb
_space_group_name_H-M_alt 'P 42/n m c'
_space_group_IT_number 137
_cell_length_a 7.8192
_cell_length_b 7.8192
_cell_length_c 8.5338
_cell_angle_alpha 90.00
_cell_angle_beta 90.00
_cell_angle_gamma 90.00
loop_
_space_group_symop_operation_xyz
'x,y,z'
'-x,-y,-z'
'-y+1/2,x,z+1/2'
'y+1/2,-x,-z+1/2'
'-x+1/2,-y+1/2,z'
'x+1/2,y+1/2,-z'
'y,-x+1/2,z+1/2'
'-y,x+1/2,-z+1/2'
'x+1/2,-y,-z'
'-x+1/2,y,z'
'-y,-x,-z+1/2'
'y,x,z+1/2'
'-x,y+1/2,-z'
'x,-y+1/2,z'
'y+1/2,x+1/2,-z+1/2'
'-y+1/2,-x+1/2,z+1/2'
loop_
_atom_site_label
_atom_site_type_symbol
_atom_site_fract_x
_atom_site_fract_y
_atom_site_fract_z
Cd1 Cd 0.0390 0.2500 0.0127
In1 In 0.0198 0.7500 0.6327
Pb1 Pb 0.2500 0.7500 0.2500
```

=====

No. 3
This entry pairs a crystal structure of Cd11In17Pb with its simulated powder X-ray diffraction pattern. Radiation: Cu Kα, 1.54184 Å. Structure: a DFT-relaxed cell (PBE, Alexandria).
Peak positions follow from Bragg's law for the DFT cell and can differ from measured ones.

The 10 most intense peaks (10° ≤ 2θ ≤ 80°), by angle:
index, 2θ/deg, I (rel.)
0 4 2, 31.17, 36
0 6 0, 32.16, 32
1 5 -2, 32.70, 99
4 2 -2, 33.13, 100
4 0 -1, 33.29, 62
1 3 2, 33.47, 90
1 3 -3, 33.59, 62
2 6 -1, 35.89, 32
3 5 -2, 36.23, 45
3 1 -4, 37.51, 38

Structural model:
```
data_Cd11In17Pb
_space_group_name_H-M_alt 'C 1 m 1'
_space_group_IT_number 8
_cell_length_a 11.4215
_cell_length_b 16.7005
_cell_length_c 9.7112
_cell_angle_alpha 90.00
_cell_angle_beta 125.54
_cell_angle_gamma 90.00
loop_
_space_group_symop_operation_xyz
'x,y,z'
'x,-y,z'
'x+1/2,y+1/2,z'
'x+1/2,-y+1/2,z'
loop_
_atom_site_label
_atom_site_type_symbol
_atom_site_fract_x
_atom_site_fract_y
_atom_site_fract_z
Cd1 Cd 0.0000 0.0000 0.0000
Cd2 Cd 0.1851 0.1819 0.6042
Cd3 Cd 0.2778 0.0956 0.1672
Cd4 Cd 0.3773 0.1852 0.9852
Cd5 Cd 0.4013 0.4039 0.4084
Cd6 Cd 0.4664 0.0907 0.7955
In1 In 0.0154 0.1683 0.7904
In2 In 0.0214 0.5000 0.1399
In3 In 0.0270 0.1574 0.1978
In4 In 0.1204 0.3369 0.3863
In5 In 0.1710 0.0000 0.4447
In6 In 0.1796 0.0000 0.7969
In7 In 0.1978 0.2939 0.0993
In8 In 0.2299 0.3510 0.7933
In9 In 0.2676 0.5000 0.0648
In10 In 0.3890 0.2031 0.4844
In11 In 0.4790 0.0000 0.5102
Pb1 Pb 0.2943 0.5000 0.6014
```

=====

No. 4
This entry pairs a crystal structure of CdIn12Pb16 with its simulated powder X-ray diffraction pattern. Radiation: Cu Kα, 1.54184 Å. Structure: a DFT-relaxed cell (PBE, Alexandria).
Peak positions follow from Bragg's law for the DFT cell and can differ from measured ones.

The 10 most intense peaks (10° ≤ 2θ ≤ 80°), by angle:
index, 2θ/deg, I (rel.)
0 4 2, 29.78, 29
3 3 0, 30.81, 100
0 0 3, 30.94, 53
1 5 1, 31.64, 42
1 3 -3, 31.90, 97
1 5 -2, 32.28, 80
3 3 -3, 32.67, 75
3 1 1, 33.30, 25
2 2 2, 35.07, 21
1 9 -3, 57.34, 22

Structural model:
```
data_CdIn12Pb16
_space_group_name_H-M_alt 'C 1 m 1'
_space_group_IT_number 8
_cell_length_a 11.9479
_cell_length_b 16.6195
_cell_length_c 10.1330
_cell_angle_alpha 90.00
_cell_angle_beta 121.17
_cell_angle_gamma 90.00
loop_
_space_group_symop_operation_xyz
'x,y,z'
'x,-y,z'
'x+1/2,y+1/2,z'
'x+1/2,-y+1/2,z'
loop_
_atom_site_label
_atom_site_type_symbol
_atom_site_fract_x
_atom_site_fract_y
_atom_site_fract_z
Cd1 Cd 0.0000 0.0000 0.0000
In1 In 0.0214 0.0000 0.5162
In2 In 0.0642 0.3068 0.8725
In3 In 0.1165 0.0947 0.3280
In4 In 0.1532 0.4052 0.6727
In5 In 0.1971 0.0000 0.8821
In6 In 0.3794 0.1912 0.5044
In7 In 0.4784 0.0952 0.0621
Pb1 Pb 0.0808 0.2912 0.3691
Pb2 Pb 0.1920 0.5000 0.4038
Pb3 Pb 0.2224 0.1740 0.7060
Pb4 Pb 0.2230 0.5000 0.9994
Pb5 Pb 0.2315 0.1584 0.1019
Pb6 Pb 0.3203 0.3513 0.2813
Pb7 Pb 0.3825 0.0000 0.6944
Pb8 Pb 0.3862 0.0000 0.3563
Pb9 Pb 0.3915 0.3132 0.9960
Pb10 Pb 0.4343 0.3697 0.6926
```

=====

No. 5
This entry pairs a crystal structure of RbCd2InPb with its simulated powder X-ray diffraction pattern. Radiation: Cu Kα, 1.54184 Å. Structure: a DFT-relaxed cell (PBE, Alexandria).
Peak positions follow from Bragg's law for the DFT cell and can differ from measured ones.

The 10 most intense peaks (10° ≤ 2θ ≤ 80°), by angle:
index, 2θ/deg, I (rel.)
0 1 1, 18.64, 25
1 0 1, 19.07, 27
0 1 3, 27.21, 32
1 0 3, 27.52, 41
1 1 2, 28.59, 100
0 2 0, 34.99, 46
2 0 0, 35.95, 43
1 1 4, 37.75, 80
0 1 5, 39.39, 25
2 2 0, 51.03, 31

Structural model:
```
data_RbCd2InPb
_space_group_name_H-M_alt 'I m m 2'
_space_group_IT_number 44
_cell_length_a 4.9968
_cell_length_b 5.1291
_cell_length_c 12.7782
_cell_angle_alpha 90.00
_cell_angle_beta 90.00
_cell_angle_gamma 90.00
loop_
_space_group_symop_operation_xyz
'x,y,z'
'-x,-y,z'
'-x,y,z'
'x,-y,z'
'x+1/2,y+1/2,z+1/2'
'-x+1/2,-y+1/2,z+1/2'
'-x+1/2,y+1/2,z+1/2'
'x+1/2,-y+1/2,z+1/2'
loop_
_atom_site_label
_atom_site_type_symbol
_atom_site_fract_x
_atom_site_fract_y
_atom_site_fract_z
Rb1 Rb 0.0000 0.0000 0.0000
Cd1 Cd 0.0000 0.0000 0.6199
Cd2 Cd 0.0000 0.5000 0.2495
In1 In 0.0000 0.5000 0.7409
Pb1 Pb 0.0000 0.0000 0.3828
```

=====

No. 6
This entry pairs a crystal structure of RbCd4In2Pb with its simulated powder X-ray diffraction pattern. Radiation: Cu Kα, 1.54184 Å. Structure: a DFT-relaxed cell (PBE, Alexandria).
Peak positions follow from Bragg's law for the DFT cell and can differ from measured ones.

The 10 most intense peaks (10° ≤ 2θ ≤ 80°), by angle:
index, 2θ/deg, I (rel.)
0 0 3, 10.16, 11
1 1 0, 32.13, 100
0 1 8, 33.13, 84
2 0 8, 46.82, 31
3 0 0, 57.29, 19
1 2 8, 57.92, 33
1 0 16, 59.80, 11
2 2 0, 67.22, 11
3 1 8, 77.02, 14
2 1 16, 78.66, 10

Structural model:
```
data_RbCd4In2Pb
_space_group_name_H-M_alt 'R -3 m'
_space_group_IT_number 166
_space_group_name_Hall '-R 3 2"'
_cell_length_a 5.5709
_cell_length_b 5.5709
_cell_length_c 26.1237
_cell_angle_alpha 90.00
_cell_angle_beta 90.00
_cell_angle_gamma 120.00
loop_
_atom_site_label
_atom_site_type_symbol
_atom_site_fract_x
_atom_site_fract_y
_atom_site_fract_z
Rb1 Rb 0.0000 0.0000 0.0000
Cd1 Cd 0.0000 0.0000 0.1354
Cd2 Cd 0.0000 0.0000 0.3818
In1 In 0.0000 0.0000 0.2526
Pb1 Pb 0.0000 0.0000 0.5000
```

=====

No. 7
This entry pairs a crystal structure of CdInPb2S4 with its simulated powder X-ray diffraction pattern. Radiation: Cu Kα, 1.54184 Å. Structure: a DFT-relaxed cell (PBE, Alexandria).
Peak positions follow from Bragg's law for the DFT cell and can differ from measured ones.

The 10 most intense peaks (10° ≤ 2θ ≤ 80°), by angle:
index, 2θ/deg, I (rel.)
0 1 0, 16.99, 14
1 1 0, 26.57, 100
2 0 -1, 30.47, 84
0 0 2, 31.37, 38
2 2 -2, 43.63, 31
2 0 1, 44.30, 58
1 3 -1, 51.79, 26
1 1 2, 52.99, 17
2 2 0, 54.71, 31
2 0 3, 73.91, 12

Structural model:
```
data_CdInPb2S4
_space_group_name_H-M_alt 'P 1'
_space_group_IT_number 1
_cell_length_a 5.8621
_cell_length_b 5.8742
_cell_length_c 7.0508
_cell_angle_alpha 114.58
_cell_angle_beta 114.53
_cell_angle_gamma 90.08
loop_
_space_group_symop_operation_xyz
'x,y,z'
loop_
_atom_site_label
_atom_site_type_symbol
_atom_site_fract_x
_atom_site_fract_y
_atom_site_fract_z
Cd1 Cd 0.0000 0.0000 0.0000
In1 In 0.2641 0.7347 0.5000
Pb1 Pb 0.5135 0.4843 0.9999
Pb2 Pb 0.7656 0.2318 0.4998
S1 S 0.0248 0.4832 0.0161
S2 S 0.2523 0.2086 0.4678
S3 S 0.5133 0.9727 0.9846
S4 S 0.7870 0.7443 0.5318
```

=====

No. 8
This entry pairs a crystal structure of CdIn4Sn2Pb with its simulated powder X-ray diffraction pattern. Radiation: Cu Kα, 1.54184 Å. Structure: a DFT-relaxed cell (PBE, Alexandria).
Peak positions follow from Bragg's law for the DFT cell and can differ from measured ones.

The 10 most intense peaks (10° ≤ 2θ ≤ 80°), by angle:
index, 2θ/deg, I (rel.)
2 2 0, 28.89, 100
0 0 4, 29.05, 49
0 4 0, 41.02, 19
2 2 4, 41.43, 75
4 0 0, 41.61, 19
0 4 4, 51.04, 20
4 0 4, 51.54, 20
4 4 4, 67.89, 17
6 2 0, 68.16, 25
6 2 4, 75.82, 19

Structural model:
```
data_CdIn4Sn2Pb
_space_group_name_H-M_alt 'I m m a'
_space_group_IT_number 74
_space_group_name_Hall '-I 2b 2'
_cell_length_a 8.6825
_cell_length_b 8.8014
_cell_length_c 12.2971
_cell_angle_alpha 90.00
_cell_angle_beta 90.00
_cell_angle_gamma 90.00
loop_
_atom_site_label
_atom_site_type_symbol
_atom_site_fract_x
_atom_site_fract_y
_atom_site_fract_z
Cd1 Cd 0.0000 0.0000 0.0000
In1 In 0.0000 0.0148 0.2511
In2 In 0.2470 0.2500 0.4938
Sn1 Sn 0.0000 0.0000 0.5000
Sn2 Sn 0.2500 0.2500 0.2500
Pb1 Pb 0.2500 0.2500 0.7500
```

=====

No. 9
This entry pairs a crystal structure of Tl5CdIn2Pb with its simulated powder X-ray diffraction pattern. Radiation: Cu Kα, 1.54184 Å. Structure: a DFT-relaxed cell (PBE, Alexandria).
Peak positions follow from Bragg's law for the DFT cell and can differ from measured ones.

The 10 most intense peaks (10° ≤ 2θ ≤ 80°), by angle:
index, 2θ/deg, I (rel.)
1 3 3, 32.37, 100
2 0 0, 32.80, 53
0 0 6, 45.79, 9
2 6 0, 47.07, 17
2 0 6, 57.46, 18
3 3 3, 58.28, 34
2 6 6, 67.77, 11
1 3 9, 76.17, 8
3 9 3, 78.07, 7
4 6 0, 78.27, 4

Structural model:
```
data_Tl5CdIn2Pb
_space_group_name_H-M_alt 'C m c m'
_space_group_IT_number 63
_space_group_name_Hall '-C 2c 2'
_cell_length_a 5.4642
_cell_length_b 16.3707
_cell_length_c 11.8888
_cell_angle_alpha 90.00
_cell_angle_beta 90.00
_cell_angle_gamma 90.00
loop_
_atom_site_label
_atom_site_type_symbol
_atom_site_fract_x
_atom_site_fract_y
_atom_site_fract_z
Tl1 Tl 0.0000 0.0689 0.2500
Tl2 Tl 0.0000 0.2461 0.0955
Tl3 Tl 0.0000 0.4074 0.5804
Cd1 Cd 0.0000 0.2407 0.7500
In1 In 0.0000 0.0891 0.5794
Pb1 Pb 0.0000 0.4235 0.2500
```

=====

No. 10
This entry pairs a crystal structure of Tl5CdInPb2 with its simulated powder X-ray diffraction pattern. Radiation: Cu Kα, 1.54184 Å. Structure: a DFT-relaxed cell (PBE, Alexandria).
Peak positions follow from Bragg's law for the DFT cell and can differ from measured ones.

The 10 most intense peaks (10° ≤ 2θ ≤ 80°), by angle:
index, 2θ/deg, I (rel.)
1 3 2, 27.62, 22
0 6 1, 27.85, 35
2 0 0, 31.94, 55
1 1 3, 32.20, 100
1 5 2, 32.84, 46
1 7 1, 36.00, 25
2 6 1, 42.89, 23
2 6 2, 45.96, 17
0 6 5, 54.36, 16
3 1 3, 57.07, 22

Structural model:
```
data_Tl5CdInPb2
_space_group_name_H-M_alt 'C m c 21'
_space_group_IT_number 36
_cell_length_a 5.6035
_cell_length_b 20.3538
_cell_length_c 9.7263
_cell_angle_alpha 90.00
_cell_angle_beta 90.00
_cell_angle_gamma 90.00
loop_
_space_group_symop_operation_xyz
'x,y,z'
'-x,-y,z+1/2'
'-x,y,z'
'x,-y,z+1/2'
'x+1/2,y+1/2,z'
'-x+1/2,-y+1/2,z+1/2'
'-x+1/2,y+1/2,z'
'x+1/2,-y+1/2,z+1/2'
loop_
_atom_site_label
_atom_site_type_symbol
_atom_site_fract_x
_atom_site_fract_y
_atom_site_fract_z
Tl1 Tl 0.0000 0.0241 0.0000
Tl2 Tl 0.0000 0.2664 0.3335
Tl3 Tl 0.0000 0.2898 0.6749
Tl4 Tl 0.0000 0.3521 0.0085
Tl5 Tl 0.0000 0.4597 0.6930
Cd1 Cd 0.0000 0.1882 0.0021
In1 In 0.0000 0.4159 0.3727
Pb1 Pb 0.0000 0.1105 0.3108
Pb2 Pb 0.0000 0.1210 0.6959
```

=====

No. 11
This entry pairs a crystal structure of Tl3Cd2In4Pb2 with its simulated powder X-ray diffraction pattern. Radiation: Cu Kα, 1.54184 Å. Structure: a DFT-relaxed cell (PBE, Alexandria).
Peak positions follow from Bragg's law for the DFT cell and can differ from measured ones.

The 10 most intense peaks (10° ≤ 2θ ≤ 80°), by angle:
index, 2θ/deg, I (rel.)
1 0 1, 20.31, 13
1 0 2, 23.41, 13
1 0 3, 27.84, 22
0 1 4, 33.14, 87
1 1 0, 33.54, 100
2 0 4, 47.86, 35
1 0 8, 58.95, 7
1 2 4, 59.70, 42
3 0 0, 59.97, 19
2 2 0, 70.49, 12

Structural model:
```
data_Tl3Cd2In4Pb2
_space_group_name_H-M_alt 'P -3 m 1'
_space_group_IT_number 164
_space_group_name_Hall '-P 3 2"'
_cell_length_a 5.3439
_cell_length_b 5.3439
_cell_length_c 13.3213
_cell_angle_alpha 90.00
_cell_angle_beta 90.00
_cell_angle_gamma 120.00
loop_
_atom_site_label
_atom_site_type_symbol
_atom_site_fract_x
_atom_site_fract_y
_atom_site_fract_z
Tl1 Tl 0.0000 0.0000 0.0000
Tl2 Tl 0.0000 0.0000 0.2669
Cd1 Cd 0.3333 0.6667 0.1162
In1 In 0.3333 0.6667 0.3491
In2 In 0.3333 0.6667 0.8701
Pb1 Pb 0.3333 0.6667 0.5859
```

=====

No. 12
This entry pairs a crystal structure of Cd5In2Pd with its simulated powder X-ray diffraction pattern. Radiation: Cu Kα, 1.54184 Å. Structure: a DFT-relaxed cell (PBE, Alexandria).
Peak positions follow from Bragg's law for the DFT cell and can differ from measured ones.

The 10 most intense peaks (10° ≤ 2θ ≤ 80°), by angle:
index, 2θ/deg, I (rel.)
0 0 2, 28.05, 31
2 2 -1, 32.95, 72
2 2 0, 35.37, 31
0 2 2, 35.76, 100
1 3 -1, 36.02, 24
2 0 1, 36.47, 47
1 1 2, 38.44, 52
2 0 -3, 38.60, 62
3 1 -1, 38.99, 59
1 3 -2, 41.65, 33

Structural model:
```
data_Cd5In2Pd
_space_group_name_H-M_alt 'C 1 m 1'
_space_group_IT_number 8
_cell_length_a 7.2911
_cell_length_b 8.1755
_cell_length_c 7.1643
_cell_angle_alpha 90.00
_cell_angle_beta 117.39
_cell_angle_gamma 90.00
loop_
_space_group_symop_operation_xyz
'x,y,z'
'x,-y,z'
'x+1/2,y+1/2,z'
'x+1/2,-y+1/2,z'
loop_
_atom_site_label
_atom_site_type_symbol
_atom_site_fract_x
_atom_site_fract_y
_atom_site_fract_z
Cd1 Cd 0.0000 0.0000 0.0000
Cd2 Cd 0.0507 0.5000 0.7336
Cd3 Cd 0.2501 0.1843 0.8130
Cd4 Cd 0.3011 0.5000 0.5066
In1 In 0.3952 0.2109 0.2933
Pd1 Pd 0.1406 0.0000 0.4279
```